[1]
Calculated powder diffraction line list
Compound: Pm7DyY3
Radiation: Cu Kα (λ = 1.5418 Å)
Structure: a GGA-PBE-relaxed structure
No peak broadening, texture or thermal motion is included.

Top 10 peaks for 2θ = 15–90°, in order of falling intensity:
Position (°2θ)  I/Imax  h k l
31.7  100  4 2 -2
33.4  86  2 2 2
31.1  51  6 0 0
50.5  39  4 2 -6
29.3  31  4 0 -4
28.7  30  2 0 -4
60.5  30  10 2 -6
60.8  16  8 0 -8
60.4  15  2 2 6
37.6  15  2 0 4

Crystal structure
Cell: 19.1705 7.2342 12.5343 Å, 90.00 115.68 90.00°
Space group C2/c (No. 15)
One atom of each set of equivalent atoms:
Pm  0.0000  0.2285  0.2500 x4
Pm  0.1610  0.4964  0.7763 x8
Pm  0.1682  0.2475  0.0297 x8
Pm  0.1682  0.2491  0.5299 x8
Dy  0.0000  0.0000  0.0000 x4
Y  0.0000  0.5000  0.0000 x4
Y  0.1680  0.0003  0.2754 x8

[2]
Calculated powder diffraction line list
Compound: SiNi4P
Radiation: Cu Kα (λ = 1.5418 Å)
Structure: a GGA-PBE-relaxed structure
No peak broadening, texture or thermal motion is included.

Top 10 peaks for 2θ = 15–90°, in order of falling intensity:
Position (°2θ)  I/Imax  h k l
40.8  100  1 1 4
45.5  33  2 1 3
55.5  19  0 2 0
42.7  16  0 1 5
53.4  15  3 0 4
44.9  13  2 0 5
53.2  13  0 0 8
46.3  12  3 0 1
48.8  9  1 0 7
80.6  8  3 2 4

Crystal structure
Cell: 5.9399 3.3121 13.7739 Å, 90.00 90.00 90.00°
Space group Pnma (No. 62)
One atom of each set of equivalent atoms:
Si  0.2438  0.2500  0.0589 x4
Ni  0.0091  0.7500  0.4287 x4
Ni  0.0689  0.7500  0.7148 x4
Ni  0.1074  0.7500  0.1603 x4
Ni  0.1447  0.7500  0.9423 x4
P  0.2449  0.7500  0.3096 x4

[3]
Calculated powder diffraction line list
Compound: CeTi2Cl8
Radiation: Cu Kα (λ = 1.5418 Å)
Structure: a GGA-PBE-relaxed structure
No peak broadening, texture or thermal motion is included.

Top 10 peaks for 2θ = 15–90°, in order of falling intensity:
Position (°2θ)  I/Imax  h k l
26.7  100  2 2 -1
18.3  74  1 1 1
19.0  56  0 2 0
27.2  51  3 1 1
19.9  45  2 0 1
40.4  39  4 0 2
37.7  39  3 3 -1
35.6  30  2 2 -2
45.5  26  5 3 0
38.7  23  0 4 0

Crystal structure
Cell: 13.0247 9.3189 6.5595 Å, 90.00 93.79 90.00°
Space group C2/m (No. 12)
One atom of each set of equivalent atoms:
Ce  0.0000  0.0000  0.0000 x2
Ti  0.1963  0.0000  0.6468 x4
Cl  0.1038  0.1968  0.7669 x8
Cl  0.1384  0.5000  0.2425 x4
Cl  0.1709  0.0000  0.2878 x4

[4]
Calculated powder diffraction line list
Compound: In6Mo7
Radiation: Cu Kα (λ = 1.5418 Å)
Structure: a GGA-PBE-relaxed structure
No peak broadening, texture or thermal motion is included.

Top 10 peaks for 2θ = 15–90°, in order of falling intensity:
Position (°2θ)  I/Imax  h k l
37.9  100  1 1 6
32.7  65  1 1 0
36.8  55  1 0 10
39.6  53  0 1 11
41.3  52  2 0 5
38.1  47  0 2 1
68.6  41  2 2 0
63.1  26  1 2 11
40.1  26  0 2 4
37.8  24  0 0 12

Crystal structure
Cell: 5.4709 5.4709 28.5441 Å, 90.00 90.00 120.00°
Space group R-3m (No. 166, hexagonal axes)
One atom of each set of equivalent atoms:
In  0.0000  0.0000  0.0504 x6
In  0.0000  0.0000  0.1533 x6
In  0.0000  0.0000  0.3339 x6
Mo  0.0000  0.0000  0.5000 x3
Mo  0.0033  0.5016  0.9099 x18

[5]
Calculated powder diffraction line list
Compound: Th2AlZn12Cu3
Radiation: Cu Kα (λ = 1.5418 Å)
Structure: a GGA-PBE-relaxed structure
No peak broadening, texture or thermal motion is included.

Top 10 peaks for 2θ = 15–90°, in order of falling intensity:
Position (°2θ)  I/Imax  h k l
42.6  100  2 2 0
24.7  92  0 2 1
27.9  91  0 1 5
31.6  83  0 2 4
37.0  49  1 1 6
48.6  48  2 1 7
32.6  45  2 1 1
41.2  43  1 2 5
26.2  36  2 0 2
49.9  33  4 0 1

Crystal structure
Cell: 8.4878 8.4878 17.7828 Å, 90.00 90.00 120.00°
Space group R-3m (No. 166, hexagonal axes)
One atom of each set of equivalent atoms:
Th  0.0000  0.0000  0.0933 x6
Al  0.0000  0.0000  0.5000 x3
Zn  0.0009  0.5005  0.8611 x18
Zn  0.0885  0.5442  0.3942 x18
Cu  0.0000  0.5000  0.0000 x9

[6]
Calculated powder diffraction line list
Compound: Li5BeAs2
Radiation: Cu Kα (λ = 1.5418 Å)
Structure: a GGA-PBE-relaxed structure
No peak broadening, texture or thermal motion is included.

Top 10 peaks for 2θ = 15–90°, in order of falling intensity:
Position (°2θ)  I/Imax  h k l
24.1  100  1 0 1
29.1  86  1 0 3
41.2  55  1 1 0
22.8  52  0 0 4
23.4  44  1 0 0
47.6  43  1 1 4
47.3  38  1 0 7
32.9  21  1 0 4
37.3  19  1 0 5
51.2  18  2 0 3

Crystal structure
Cell: 4.3836 4.3836 15.6056 Å, 90.00 90.00 120.00°
Space group P6_3/mmc (No. 194)
One atom of each set of equivalent atoms:
Li  0.0000  0.0000  0.1505 x4
Li  0.3333  0.6667  0.0532 x4
Li  0.3333  0.6667  0.2500 x2
Be  0.3333  0.6667  0.7500 x2
As  0.3333  0.6667  0.6147 x4

[7]
Calculated powder diffraction line list
Compound: DyPa4N5
Radiation: Cu Kα (λ = 1.5418 Å)
Structure: a GGA-PBE-relaxed structure
No peak broadening, texture or thermal motion is included.

Top 10 peaks for 2θ = 15–90°, in order of falling intensity:
Position (°2θ)  I/Imax  h k l
31.4  100  1 2 1
36.4  66  3 1 0
52.4  47  3 1 2
62.3  46  5 0 1
88.5  22  6 2 2
85.7  20  5 0 3
65.5  16  2 4 2
77.3  7  6 2 0
21.3  1  1 0 1
16.0  1  1 1 0

Crystal structure
Cell: 7.8107 7.8107 4.9382 Å, 90.00 90.00 90.00°
Space group I4/m (No. 87)
One atom of each set of equivalent atoms:
Dy  0.0000  0.0000  0.0000 x2
Pa  0.1011  0.7009  0.5000 x8
N  0.0000  0.0000  0.5000 x2
N  0.1008  0.7000  0.0000 x8

[8]
Calculated powder diffraction line list
Compound: Hf2Al4Pd
Radiation: Cu Kα (λ = 1.5418 Å)
Structure: a GGA-PBE-relaxed structure
No peak broadening, texture or thermal motion is included.

Top 10 peaks for 2θ = 15–90°, in order of falling intensity:
Position (°2θ)  I/Imax  h k l
20.2  100  1 1 0
39.4  52  1 0 -2
40.4  48  1 0 2
38.9  46  2 0 0
35.6  39  0 1 2
33.2  38  1 -1 0
39.2  38  0 2 1
19.2  35  1 0 0
19.4  30  0 1 0
29.0  30  0 1 -1

Crystal structure
Cell: 5.2161 5.2900 5.3494 Å, 75.46 84.80 62.73°
Space group P-1 (No. 2)
One atom of each set of equivalent atoms:
Hf  0.0051  0.4182  0.2686 x2
Al  0.0000  0.0000  0.0000 x1
Al  0.4103  0.7883  0.4698 x2
Al  0.5000  0.5000  0.0000 x1
Pd  0.5000  0.0000  0.0000 x1